1.
BaSrTbWO6: theoretical X-ray powder pattern (copper Kα), based on a PBE+U-relaxed structure.
Neutral-atom scattering factors, no anomalous dispersion.

Main lines, sorted by position (2θ from 10° to 80°):
4.899 Å, 18.11°, I 2
4.242 Å, 20.94°, I 10
3.000 Å, 29.78°, I 100
2.121 Å, 42.62°, I 29
1.897 Å, 47.95°, I 4
1.732 Å, 52.86°, I 41
1.500 Å, 61.86°, I 18
1.414 Å, 66.07°, I 2
1.342 Å, 70.15°, I 18
1.225 Å, 78.03°, I 6

Structure:
```
10
Lattice="0.0000 4.2422 4.2422 4.2422 0.0000 4.2422 4.2422 4.2422 0.0000" Properties=species:S:1:pos:R:3 pbc="T T T"
Ba 0.0000 0.0000 0.0000
Sr 4.2422 4.2422 4.2422
Tb 6.3634 6.3634 6.3634
W 2.1211 2.1211 2.1211
O 2.1211 2.1211 0.1220
O 2.1211 0.1220 2.1211
O 4.1203 2.1211 2.1211
O 0.1220 2.1211 2.1211
O 2.1211 4.1203 2.1211
O 2.1211 2.1211 4.1203
```

***

2.
Li2MnOF3: theoretical X-ray powder pattern (copper Kα), based on a PBE+U-relaxed structure.
Neutral-atom scattering factors, no anomalous dispersion.

Main lines, sorted by position (2θ from 10° to 80°):
6.076 Å, 14.58°, I 41
4.895 Å, 18.12°, I 100
3.812 Å, 23.34°, I 70
3.417 Å, 26.08°, I 30
2.581 Å, 34.76°, I 39
2.270 Å, 39.70°, I 18
2.148 Å, 42.07°, I 74
2.067 Å, 43.81°, I 33
1.519 Å, 61.00°, I 22
1.489 Å, 62.35°, I 41

Structure:
```
28
Lattice="6.0755 0.0000 0.0000 0.0000 6.0755 0.0000 0.0000 0.0000 8.2660" Properties=species:S:1:pos:R:3 pbc="T T T"
Li 0.0982 1.4142 0.0000
Li 1.4142 5.9773 6.1995
Li 1.4757 4.4708 0.9451
Li 1.6047 1.4757 3.0116
Li 4.4708 4.5998 7.1446
Li 4.5998 1.6047 5.0781
Li 4.6613 0.0982 2.0665
Li 5.9773 4.6613 4.1330
Mn 1.4885 3.0633 6.2127
Mn 3.0122 1.4885 0.0132
Mn 3.0633 4.5870 4.1462
Mn 4.5870 3.0122 2.0797
O 1.6967 2.8375 8.0822
O 2.8375 4.3789 6.0157
O 3.2381 1.6967 1.8827
O 4.3789 3.2381 3.9492
F 6.0748 1.4881 1.9761
F 0.0008 4.5874 6.1091
F 0.1632 1.5929 6.2047
F 1.3581 3.0541 4.2110
F 1.4881 0.0008 8.1756
F 1.5929 5.9124 4.1382
F 3.0214 1.3581 6.2775
F 3.0541 4.7175 2.1445
F 4.4826 0.1632 0.0052
F 4.5874 6.0748 4.0426
F 4.7175 3.0214 0.0780
F 5.9124 4.4826 2.0717
```

***

3.
Li5Fe3Ni2O10: theoretical X-ray powder pattern (copper Kα), based on a PBE+U-relaxed structure.
Neutral-atom scattering factors, no anomalous dispersion.

Main lines, sorted by position (2θ from 10° to 80°):
7.023 Å, 12.60°, I 59
4.882 Å, 18.17°, I 40
4.836 Å, 18.35°, I 100
3.871 Å, 22.97°, I 29
3.362 Å, 26.51°, I 22
3.319 Å, 26.86°, I 21
2.417 Å, 37.20°, I 40
2.124 Å, 42.57°, I 83
2.089 Å, 43.31°, I 65
2.061 Å, 43.93°, I 66

Structure:
```
20
Lattice="5.0948 0.0000 0.0000 0.7643 5.1119 0.0000 2.4061 2.1797 7.0230" Properties=species:S:1:pos:R:3 pbc="T T T"
Li 0.0000 0.0000 0.0000
Li 4.8842 3.4163 6.4124
Li 4.9021 6.1073 5.0919
Li 3.3631 1.1843 1.9312
Li 3.3810 3.8754 0.6106
Fe 1.5758 4.9908 2.6868
Fe 4.1326 3.6458 3.5115
Fe 6.6894 2.3008 4.3362
Ni 0.8124 2.4673 1.3505
Ni 7.4528 4.8244 5.6726
O 3.9101 5.2901 6.7340
O 3.1434 5.4545 3.9767
O 2.4183 3.0855 2.5081
O 1.6505 0.5755 1.1313
O 3.2836 2.9079 5.1356
O 4.9816 4.3838 1.8874
O 6.6147 6.7161 5.8917
O 5.8469 4.2062 4.5149
O 5.1218 1.8371 3.0464
O 4.3550 2.0016 0.2890
```